Structure and theoretical powder diffraction line list of LaMg6Si (a cell relaxed with PBE; a wavelength of 1.5418 Å).
Intensities are scaled so that the largest is 1000.

Structure:
abc: 4.9002 5.9122 13.4610
angles: 90.00 90.00 90.00
Space group Amm2 (No. 38)
One atom of each set of equivalent atoms:
La  0.0000  0.0000  0.0000 x2
Mg  0.0000  0.2463  0.7432 x4
Mg  0.5000  0.0000  0.1645 x2
Mg  0.5000  0.0000  0.5877 x2
Mg  0.5000  0.2484  0.3753 x4
Si  0.0000  0.0000  0.4314 x2

Top 6 peaks for 2θ from 10° to 90°, most intense first:
index	two_theta	Rel. int.
1 2 2	38.0	1000
1 0 4	32.3	957
2 0 0	36.7	820
1 1 3	31.0	779
1 1 1	24.5	767
0 1 1	16.4	716



Structure and theoretical powder diffraction line list of Bi2PdO4 (a cell relaxed with PBE; a wavelength of 1.5418 Å).
Intensities are scaled so that the largest is 1000.

Structure:
abc: 8.6125 8.6125 6.1700
angles: 90.00 90.00 90.00
Space group P4/ncc (No. 130, origin choice 2)
One atom of each set of equivalent atoms:
Bi  0.0766  0.5766  0.2500 x8
Pd  0.2500  0.2500  0.0800 x4
O  0.0345  0.1484  0.5875 x16

Top 6 peaks for 2θ from 10° to 90°, most intense first:
index	two_theta	Rel. int.
2 1 1	27.3	1000
4 1 1	45.9	397
3 1 0	32.9	295
2 0 2	35.8	246
2 1 3	50.3	242
3 3 2	54.1	209



Structure and theoretical powder diffraction line list of CaH16O10 (a cell relaxed with PBE; a wavelength of 1.5418 Å).
Intensities are scaled so that the largest is 1000.

Structure:
abc: 6.2474 6.5016 10.8706
angles: 88.21 89.22 86.27
Space group P1 (No. 1)
One atom of each set of equivalent atoms:
Ca  0.0000  0.0000  0.0000 x1
Ca  0.0479  0.0203  0.4717 x1
H  0.0433  0.5562  0.8758 x1
H  0.0441  0.5950  0.1030 x1
H  0.0517  0.6629  0.6119 x1
H  0.0671  0.4732  0.3654 x1
H  0.1647  0.7115  0.7885 x1
H  0.1730  0.3245  0.1842 x1
H  0.2846  0.1707  0.0958 x1
H  0.3029  0.1588  0.6935 x1
H  0.3043  0.2511  0.8923 x1
H  0.3123  0.4041  0.3826 x1
H  0.3122  0.6523  0.5985 x1
H  0.3287  0.8955  0.2618 x1
H  0.3824  0.5747  0.9498 x1
H  0.3941  0.3082  0.5884 x1
H  0.4015  0.7407  0.3776 x1
H  0.4250  0.7951  0.1040 x1
H  0.4427  0.0438  0.8666 x1
H  0.5664  0.0589  0.1231 x1
H  0.5964  0.9816  0.5911 x1
H  0.6328  0.7723  0.9001 x1
H  0.6376  0.7402  0.5963 x1
H  0.6523  0.2913  0.1155 x1
H  0.6624  0.3013  0.3965 x1
H  0.6997  0.8890  0.7744 x1
H  0.7237  0.1442  0.2889 x1
H  0.7325  0.3996  0.5962 x1
H  0.7474  0.3865  0.8954 x1
H  0.7518  0.6451  0.3904 x1
H  0.7805  0.6259  0.1057 x1
H  0.8805  0.3122  0.7765 x1
H  0.9120  0.7163  0.2825 x1
H  0.9947  0.3732  0.5831 x1
O  0.1399  0.6730  0.8770 x1
O  0.1703  0.3498  0.3597 x1
O  0.1767  0.7410  0.6275 x1
O  0.1793  0.2952  0.0951 x1
O  0.2980  0.1187  0.8524 x1
O  0.3204  0.8745  0.3552 x1
O  0.3208  0.1752  0.6029 x1
O  0.3428  0.9280  0.1141 x1
O  0.5217  0.5257  0.5648 x1
O  0.5323  0.5214  0.4272 x1
O  0.5409  0.5444  0.9580 x1
O  0.5799  0.5378  0.0924 x1
O  0.6805  0.9069  0.8659 x1
O  0.7010  0.1391  0.1265 x1
O  0.7037  0.8729  0.6187 x1
O  0.7432  0.1658  0.3778 x1
O  0.8707  0.3115  0.6213 x1
O  0.8905  0.3294  0.8677 x1
O  0.8986  0.6998  0.3740 x1
O  0.9277  0.6981  0.1210 x1

Top 6 peaks for 2θ from 10° to 90°, most intense first:
index	two_theta	Rel. int.
0 0 2	16.3	1000
0 0 4	33.0	627
1 2 -1	31.7	489
2 1 1	31.9	471
-1 1 2	26.1	453
-2 1 1	33.7	381



Structure and theoretical powder diffraction line list of NaAsO2 (a cell relaxed with PBE; a wavelength of 1.5418 Å).
Intensities are scaled so that the largest is 1000.

Structure:
abc: 5.1707 15.9031 6.7904
angles: 90.00 90.00 90.00
Space group Pbca (No. 61)
One atom of each set of equivalent atoms:
Na  0.2427  0.0504  0.0985 x8
As  0.2320  0.1606  0.5987 x8
O  0.0817  0.6169  0.8138 x8
O  0.2109  0.5814  0.4298 x8

Top 6 peaks for 2θ from 10° to 90°, most intense first:
index	two_theta	Rel. int.
1 2 1	24.4	1000
0 2 1	17.2	695
1 4 1	31.3	538
1 0 2	31.5	514
0 4 0	22.4	473
0 4 1	26.0	391



Structure and theoretical powder diffraction line list of ReW2C (a cell relaxed with PBE; a wavelength of 1.5418 Å).
Intensities are scaled so that the largest is 1000.

Structure:
abc: 2.9767 2.9767 13.9733
angles: 90.00 90.00 120.00
Space group P3m1 (No. 156)
One atom of each set of equivalent atoms:
Re  0.0000  0.0000  0.0000 x1
Re  0.0000  0.0000  0.3196 x1
W  0.0000  0.0000  0.6547 x1
W  0.6667  0.3333  0.1631 x1
W  0.6667  0.3333  0.4779 x1
W  0.6667  0.3333  0.8222 x1
C  0.3333  0.6667  0.5672 x1
C  0.3333  0.6667  0.9132 x1

Top 6 peaks for 2θ from 10° to 90°, most intense first:
index	two_theta	Rel. int.
1 0 3	40.0	1000
1 0 0	34.8	228
0 0 6	38.7	222
1 1 6	75.9	191
1 1 0	62.4	191
1 0 9	70.9	163



Structure and theoretical powder diffraction line list of Zn3Bi2P2O12 (a cell relaxed with PBE; a wavelength of 1.5418 Å).
Intensities are scaled so that the largest is 1000.

Structure:
abc: 7.9386 5.2534 12.0444
angles: 90.00 91.13 90.00
Space group Pm (No. 6)
One atom of each set of equivalent atoms:
Zn  0.0000  0.0000  0.0000 x1
Zn  0.0144  0.5000  0.8130 x1
Zn  0.1328  0.5000  0.3208 x1
Zn  0.5002  0.0000  0.5173 x1
Zn  0.5209  0.5000  0.3317 x1
Zn  0.6249  0.5000  0.8381 x1
Bi  0.3104  0.5000  0.0204 x1
Bi  0.3347  0.0000  0.8107 x1
Bi  0.7829  0.0000  0.3079 x1
Bi  0.8625  0.5000  0.5245 x1
P  0.3021  0.5000  0.6165 x1
P  0.3498  0.0000  0.2230 x1
P  0.7794  0.0000  0.7187 x1
P  0.8578  0.5000  0.1186 x1
O  0.0417  0.5000  0.1653 x1
O  0.1140  0.5000  0.6587 x1
O  0.1387  0.2510  0.9131 x2
O  0.2237  0.0000  0.1249 x1
O  0.3242  0.2620  0.5446 x2
O  0.3267  0.2482  0.2950 x2
O  0.4180  0.5000  0.7205 x1
O  0.4832  0.2519  0.9196 x2
O  0.5339  0.0000  0.1875 x1
O  0.5910  0.0000  0.6819 x1
O  0.6443  0.2455  0.4281 x2
O  0.7287  0.5000  0.2145 x1
O  0.8101  0.2466  0.7913 x2
O  0.8344  0.2576  0.0472 x2
O  0.8959  0.0000  0.6199 x1
O  0.9843  0.2633  0.3998 x2

Top 6 peaks for 2θ from 10° to 90°, most intense first:
index	two_theta	Rel. int.
1 1 -3	30.0	1000
2 1 -2	31.7	986
1 1 3	30.4	844
2 1 2	32.1	837
2 0 0	22.4	758
1 0 1	13.5	684